Record 1
This entry pairs a crystal structure of CsRbMg6O7 with its calculated X-ray powder pattern. Radiation: Cu Kα. Structure: a GGA-PBE-relaxed structure.
Neutral-atom scattering factors, no anomalous dispersion.

Top 12 peaks for 10 to 80 degrees two-theta, low angle first:
| 2theta | I_rel |
| --- | --- |
| 14.6 | 684 |
| 24.9 | 1000 |
| 29.6 | 601 |
| 30.0 | 717 |
| 32.3 | 432 |
| 35.9 | 531 |
| 40.9 | 923 |
| 42.5 | 287 |
| 48.5 | 309 |
| 51.5 | 309 |
| 55.5 | 297 |
| 59.2 | 282 |

Cell and atoms:
```
CsRbMg6O7
1.0
4.4120 0.0000 0.0000
0.0000 4.4120 0.0000
0.0000 0.0000 12.1469
Cs Rb Mg O
1 1 6 7
Direct
0.0000 0.0000 0.0000
0.5000 0.5000 0.1328
0.0000 0.0000 0.6096
0.0000 0.5000 0.4356
0.0000 0.5000 0.7940
0.5000 0.0000 0.4356
0.5000 0.0000 0.7940
0.5000 0.5000 0.6200
0.0000 0.0000 0.4310
0.0000 0.0000 0.7768
0.0000 0.5000 0.6032
0.0000 0.5000 0.9840
0.5000 0.0000 0.6032
0.5000 0.0000 0.9840
0.5000 0.5000 0.7814
```

---

Record 2
This entry pairs a crystal structure of La4GeSb2Se with its calculated X-ray powder pattern. Radiation: Cu Kα. Structure: a GGA-PBE-relaxed structure.
Neutral-atom scattering factors, no anomalous dispersion.

Top 12 peaks for 10 to 80 degrees two-theta, low angle first:
| 2theta | I_rel |
| --- | --- |
| 24.2 | 35 |
| 28.0 | 1000 |
| 40.0 | 505 |
| 40.1 | 254 |
| 49.4 | 66 |
| 49.6 | 204 |
| 57.9 | 125 |
| 65.4 | 168 |
| 65.6 | 116 |
| 65.6 | 57 |
| 72.5 | 60 |
| 72.7 | 169 |

Cell and atoms:
```
La4GeSb2Se
1.0
7.7876 0.0000 0.0000
0.0000 4.5041 0.0000
-2.5921 0.0000 7.3810
La Ge Sb Se
4 1 2 1
Direct
0.2425 0.0000 0.2370
0.2477 0.5000 0.7608
0.7523 0.5000 0.2392
0.7575 0.0000 0.7630
0.0000 0.5000 0.0000
0.0000 0.0000 0.5000
0.5000 0.5000 0.5000
0.5000 0.0000 0.0000
```

---

Record 3
This entry pairs a crystal structure of NbS with its calculated X-ray powder pattern. Radiation: Cu Kα. Structure: a GGA-PBE-relaxed structure.
Neutral-atom scattering factors, no anomalous dispersion.

Top 12 peaks for 10 to 80 degrees two-theta, low angle first:
| 2theta | I_rel |
| --- | --- |
| 21.5 | 469 |
| 32.4 | 396 |
| 34.2 | 1000 |
| 39.2 | 149 |
| 43.9 | 154 |
| 46.6 | 773 |
| 55.6 | 112 |
| 57.8 | 279 |
| 62.4 | 151 |
| 68.9 | 123 |
| 75.3 | 178 |
| 77.3 | 165 |

Cell and atoms:
```
NbS
1.0
3.1906 0.0000 0.0000
-1.5953 2.7631 0.0000
0.0000 0.0000 8.2562
Nb S
2 2
Direct
0.3333 0.6667 0.0000
0.6667 0.3333 0.5000
0.3333 0.6667 0.6962
0.6667 0.3333 0.1962
```

---

Record 4
This entry pairs a crystal structure of Tm4GeBr5 with its calculated X-ray powder pattern. Radiation: Cu Kα. Structure: a GGA-PBE-relaxed structure.
Neutral-atom scattering factors, no anomalous dispersion.

Top 12 peaks for 10 to 80 degrees two-theta, low angle first:
| 2theta | I_rel |
| --- | --- |
| 10.1 | 216 |
| 10.9 | 550 |
| 30.5 | 107 |
| 30.7 | 486 |
| 31.1 | 1000 |
| 43.7 | 174 |
| 44.0 | 359 |
| 44.5 | 329 |
| 45.3 | 182 |
| 55.8 | 178 |
| 64.8 | 107 |
| 72.4 | 124 |

Cell and atoms:
```
Tm4GeBr5
1.0
8.9490 -1.9999 0.0000
8.9490 1.9999 0.0000
-1.7816 0.0000 8.0851
Tm Ge Br
4 1 5
Direct
0.0008 0.0008 0.2222
0.3481 0.3481 0.9216
0.6519 0.6519 0.0784
0.9992 0.9992 0.7778
0.5000 0.5000 0.0000
0.1669 0.1669 0.3288
0.1732 0.1732 0.8384
0.5000 0.5000 0.5000
0.8268 0.8268 0.1616
0.8331 0.8331 0.6712
```

---

Record 5
This entry pairs a crystal structure of BaReO5 with its calculated X-ray powder pattern. Radiation: Cu Kα. Structure: a GGA-PBE-relaxed structure.
Neutral-atom scattering factors, no anomalous dispersion.

Top 12 peaks for 10 to 80 degrees two-theta, low angle first:
| 2theta | I_rel |
| --- | --- |
| 16.2 | 129 |
| 22.6 | 541 |
| 23.5 | 456 |
| 28.7 | 1000 |
| 32.8 | 217 |
| 43.6 | 303 |
| 44.6 | 232 |
| 48.0 | 143 |
| 53.7 | 140 |
| 54.1 | 129 |
| 56.1 | 112 |
| 59.4 | 127 |

Cell and atoms:
```
BaReO5
1.0
-3.7898 3.9341 3.7878
3.7898 -3.9341 3.7878
3.7898 3.9341 -3.7878
Ba Re O
2 2 10
Direct
0.4542 0.2042 0.2500
0.5458 0.7958 0.7500
0.0000 0.0000 0.5000
0.0000 0.5000 0.0000
0.0680 0.8180 0.2500
0.2369 0.0000 0.7369
0.2373 0.2948 0.5575
0.2369 0.5000 0.2369
0.2373 0.6797 0.9425
0.7631 0.0000 0.2631
0.7627 0.3203 0.0575
0.7631 0.5000 0.7631
0.7627 0.7052 0.4425
0.9320 0.1820 0.7500
```

---

Record 6
This entry pairs a crystal structure of In2TePt with its calculated X-ray powder pattern. Radiation: Cu Kα. Structure: a GGA-PBE-relaxed structure.
Neutral-atom scattering factors, no anomalous dispersion.

Top 12 peaks for 10 to 80 degrees two-theta, low angle first:
| 2theta | I_rel |
| --- | --- |
| 13.1 | 377 |
| 30.0 | 503 |
| 30.2 | 1000 |
| 39.7 | 131 |
| 42.8 | 653 |
| 43.3 | 247 |
| 43.6 | 123 |
| 53.1 | 201 |
| 53.4 | 101 |
| 70.6 | 86 |
| 70.7 | 86 |
| 78.4 | 109 |

Cell and atoms:
```
In2TePt
1.0
7.3138 0.0000 0.0000
0.0000 4.2277 0.0000
-2.4956 0.0000 6.7743
In Te Pt
4 2 2
Direct
0.0000 0.0000 0.0000
0.2350 0.0000 0.7003
0.5000 0.5000 0.0000
0.7350 0.5000 0.7003
0.2757 0.5000 0.3286
0.7757 0.0000 0.3286
0.0032 0.5000 0.5081
0.5032 0.0000 0.5081
```

---

Record 7
This entry pairs a crystal structure of PrTh2Se4 with its calculated X-ray powder pattern. Radiation: Cu Kα. Structure: a GGA-PBE-relaxed structure.
Neutral-atom scattering factors, no anomalous dispersion.

Top 12 peaks for 10 to 80 degrees two-theta, low angle first:
| 2theta | I_rel |
| --- | --- |
| 24.5 | 529 |
| 31.8 | 1000 |
| 37.8 | 704 |
| 45.5 | 320 |
| 47.9 | 212 |
| 50.2 | 105 |
| 52.4 | 220 |
| 64.5 | 355 |
| 66.3 | 94 |
| 68.2 | 161 |
| 73.7 | 71 |
| 79.0 | 237 |

Cell and atoms:
```
PrTh2Se4
1.0
-4.4567 4.4567 4.4528
4.4567 -4.4567 4.4528
4.4567 4.4567 -4.4528
Pr Th Se
2 4 8
Direct
0.0000 0.0000 0.0000
0.7500 0.2500 0.5000
0.2458 0.1250 0.6208
0.3750 0.7542 0.8792
0.5042 0.6250 0.3792
0.8750 0.4958 0.1208
0.1276 0.3792 0.4063
0.1292 0.3776 0.9063
0.2787 0.8724 0.2516
0.4713 0.2230 0.0937
0.6208 0.0270 0.7484
0.6224 0.5287 0.7516
0.7770 0.8708 0.2484
0.9730 0.7213 0.5937
```

---

Record 8
This entry pairs a crystal structure of GaCu6Au12 with its calculated X-ray powder pattern. Radiation: Cu Kα. Structure: a GGA-PBE-relaxed structure.
Neutral-atom scattering factors, no anomalous dispersion.

Top 12 peaks for 10 to 80 degrees two-theta, low angle first:
| 2theta | I_rel |
| --- | --- |
| 20.9 | 85 |
| 24.9 | 76 |
| 25.4 | 113 |
| 30.6 | 44 |
| 33.9 | 52 |
| 38.7 | 346 |
| 38.8 | 1000 |
| 45.1 | 655 |
| 65.6 | 212 |
| 65.8 | 207 |
| 78.8 | 127 |
| 79.0 | 370 |

Cell and atoms:
```
GaCu6Au12
1.0
6.1903 3.5740 2.3275
-6.1903 3.5740 2.3275
0.0000 -7.1479 2.3275
Ga Cu Au
1 6 12
Direct
0.0000 0.0000 0.0000
0.0480 0.5808 0.3642
0.3642 0.0480 0.5808
0.4192 0.6358 0.9520
0.5808 0.3642 0.0480
0.6358 0.9520 0.4192
0.9520 0.4192 0.6358
0.1129 0.1644 0.7356
0.1644 0.7356 0.1129
0.2033 0.3312 0.4761
0.2644 0.8871 0.8356
0.3312 0.4761 0.2033
0.4761 0.2033 0.3312
0.5239 0.7967 0.6688
0.6688 0.5239 0.7967
0.7356 0.1129 0.1644
0.7967 0.6688 0.5239
0.8356 0.2644 0.8871
0.8871 0.8356 0.2644
```

---

Record 9
This entry pairs a crystal structure of AgHCl2 with its calculated X-ray powder pattern. Radiation: Cu Kα. Structure: a GGA-PBE-relaxed structure.
Neutral-atom scattering factors, no anomalous dispersion.

Top 12 peaks for 10 to 80 degrees two-theta, low angle first:
| 2theta | I_rel |
| --- | --- |
| 19.0 | 417 |
| 22.6 | 1000 |
| 25.7 | 340 |
| 30.1 | 331 |
| 31.1 | 408 |
| 37.7 | 140 |
| 39.7 | 470 |
| 40.6 | 533 |
| 43.7 | 271 |
| 45.4 | 167 |
| 46.2 | 141 |
| 62.5 | 270 |

Cell and atoms:
```
AgHCl2
1.0
7.3067 0.0000 0.0000
0.0000 7.8652 0.0000
0.0000 0.0000 5.7862
Ag H Cl
4 4 8
Direct
0.2209 0.1166 0.0000
0.2791 0.6166 0.5000
0.7209 0.3834 0.0000
0.7791 0.8834 0.5000
0.0149 0.7352 0.9962
0.4851 0.2352 0.4962
0.5149 0.7648 0.9962
0.9851 0.2648 0.4962
0.0409 0.3570 0.6948
0.0897 0.8508 0.7499
0.4103 0.3508 0.2499
0.4591 0.8570 0.1948
0.5409 0.1430 0.6948
0.5897 0.6492 0.7499
0.9103 0.1492 0.2499
0.9591 0.6430 0.1948
```

---

Record 10
This entry pairs a crystal structure of Tb3Er5Tm3 with its calculated X-ray powder pattern. Radiation: Cu Kα. Structure: a GGA-PBE-relaxed structure.
Neutral-atom scattering factors, no anomalous dispersion.

Top 12 peaks for 10 to 80 degrees two-theta, low angle first:
| 2theta | I_rel |
| --- | --- |
| 24.7 | 375 |
| 26.3 | 269 |
| 28.1 | 812 |
| 31.0 | 933 |
| 32.4 | 252 |
| 32.6 | 316 |
| 33.9 | 1000 |
| 36.4 | 754 |
| 42.3 | 769 |
| 49.6 | 385 |
| 64.9 | 410 |
| 65.4 | 303 |

Cell and atoms:
```
Tb3Er5Tm3
1.0
10.9942 0.0000 0.0000
-5.4971 9.5213 0.0000
0.0000 0.0000 3.3916
Tb Er Tm
3 5 3
Direct
0.0000 0.3406 0.0000
0.3406 0.0000 0.0000
0.6594 0.6594 0.0000
0.0000 0.8401 0.0000
0.1599 0.1599 0.0000
0.3333 0.6667 0.0000
0.6667 0.3333 0.0000
0.8401 0.0000 0.0000
0.0000 0.5935 0.5000
0.4065 0.4065 0.5000
0.5935 0.0000 0.5000
```